This entry pairs a crystal structure of LiVNiO4 with its theoretical XRD peak list. Radiation: Cu Ka. Structure: a DFT-relaxed cell (PBE+U, Alexandria).
Kinematic intensities with the Lorentz-polarization factor, no thermal factor.

Cell and atoms:
Unit cell a=10.4006 b=6.0293 c=4.9251 alpha=90.00 beta=90.00 gamma=90.00
Space group Pnma (No. 62)
Inequivalent atoms, fractional coordinates:
Li1 0.0000 0.0000 0.0000 x4
V1 0.0942 0.2500 0.4303 x4
Ni1 0.2312 0.7500 0.4923 x4
O1 0.0604 0.7500 0.7026 x4
O2 0.0960 0.2500 0.7828 x4
O3 0.1687 0.0217 0.2734 x8

Most intense lines, 2θ from 10° to 80°, low angle first:
index  2θ (°)  Rel. int.
2 0 0  17.05  22
1 0 1  19.95  46
2 1 0  22.58  27
1 1 1  24.87  53
0 2 0  29.63  51
3 1 1  34.97  100
1 2 1  35.98  24
1 1 2  40.52  21
2 2 2  51.02  31
3 3 1  56.09  24